# BaCaCo4O8
Simulated PXRD pattern, Cu Kα X-rays. Input: the PBE+U geometry in Alexandria.
Lines closer than 0.1° are merged.

Structural model:
```
data_BaCaCo4O8
_chemical_formula_sum 'Ba1 Ca1 Co4 O8'
_symmetry_space_group_name_H-M 'P -3 1 m'
_symmetry_Int_Tables_number 162
_symmetry_space_group_name_Hall '-P 3 2'
_cell_length_a 5.4199
_cell_length_b 5.4199
_cell_length_c 7.8229
_cell_angle_alpha 90.00
_cell_angle_beta 90.00
_cell_angle_gamma 120.00
loop_
_atom_site_label
_atom_site_type_symbol
_atom_site_fract_x
_atom_site_fract_y
_atom_site_fract_z
Ba1 Ba 0.0000 0.0000 0.0000
Ca1 Ca 0.0000 0.0000 0.5000
Co1 Co 0.3333 0.6667 0.2356
O1 O 0.0000 0.3329 0.3014
O2 O 0.3333 0.6667 0.0000
```

The 10 most intense peaks (2θ from 10° to 90°), low angle first:
2θ (°)  I/Imax  h k l
11.31  25  0 0 1
29.73  100  1 0 2
33.05  80  1 1 0
35.04  27  2 -1 1
45.05  31  2 0 2
57.00  30  2 1 2
58.17  32  2 -1 4
59.04  25  3 0 0
69.35  16  2 2 0
78.25  14  3 0 4